1.
Theoretical X-ray powder pattern of Sc3VAg3S8 for CuKα, from a PBE-relaxed structure.
No peak broadening, texture or thermal motion is included.

The 8 most intense peaks (5° ≤ 2θ ≤ 70°), sorted by position:
two_theta, I_rel, h k l
14.65, 35, 1 1 0
16.64, 16, 2 0 0
29.55, 24, 4 0 -2
33.59, 100, 2 2 -2
33.74, 50, 4 0 0
46.76, 17, 4 0 -4
46.99, 34, 2 2 2
49.68, 46, 0 4 0

Crystal structure
Cell lengths 12.716, 7.339, 7.793 Å; angles 90.00, 123.31, 90.00 degrees
Space group C2/m (No. 12)
Asymmetric unit:
1 Sc 0.000 0.000 0.000
2 Sc 0.250 0.250 0.000
3 V 0.000 0.500 0.000
4 Ag 0.000 0.500 0.500
5 Ag 0.250 0.250 0.500
6 S 0.007 0.264 0.786
7 S 0.229 0.500 0.214
8 S 0.243 0.000 0.226

2.
Theoretical X-ray powder pattern of PmPuSeS for CuKα, from a PBE-relaxed structure.
No peak broadening, texture or thermal motion is included.

The 8 most intense peaks (5° ≤ 2θ ≤ 70°), sorted by position:
two_theta, I_rel, h k l
26.45, 14, 0 0 6
26.84, 42, 0 1 2
30.98, 100, 1 0 4
44.13, 36, 0 1 8
44.64, 37, 1 1 0
52.63, 14, 1 1 6
55.32, 20, 0 2 4
64.57, 12, 2 0 8

Crystal structure
Cell lengths 4.0602, 4.0602, 20.2214 Å; angles 90.00, 90.00, 120.00 degrees
Space group R3m (No. 160, hexagonal axes)
Asymmetric unit:
1 Pm 0.0000 0.0000 0.0000
2 Pu 0.0000 0.0000 0.4892
3 Se 0.0000 0.0000 0.2429
4 S 0.0000 0.0000 0.7470

3.
Theoretical X-ray powder pattern of La2Y6HoEr3 for CuKα, from a PBE-relaxed structure.
No peak broadening, texture or thermal motion is included.

The 8 most intense peaks (5° ≤ 2θ ≤ 70°), sorted by position:
two_theta, I_rel, h k l
30.56, 100, 1 3 1
30.64, 33, 0 0 4
35.46, 67, 2 0 2
50.96, 24, 0 6 0
51.07, 23, 1 3 5
60.63, 42, 4 0 0
60.74, 14, 2 0 6
63.62, 12, 2 6 2

Crystal structure
Cell lengths 6.209, 10.749, 11.853 Å; angles 90.00, 100.03, 90.00 degrees
Space group C2/m (No. 12)
Asymmetric unit:
1 La 0.000 0.167 0.000
2 Y 0.247 0.500 0.745
3 Y 0.249 0.166 0.745
4 Ho 0.000 0.500 0.000
5 Er 0.000 0.000 0.500
6 Er 0.000 0.334 0.500

4.
Theoretical X-ray powder pattern of Ta2Nb2Au for CuKα, from a PBE-relaxed structure.
No peak broadening, texture or thermal motion is included.

The 8 most intense peaks (5° ≤ 2θ ≤ 70°), sorted by position:
two_theta, I_rel, h k l
23.94, 42, 1 1 -1
39.01, 100, 2 2 1
40.73, 46, 2 0 -2
47.78, 11, 5 1 1
53.66, 9, 0 4 0
58.91, 8, 4 0 2
59.02, 8, 8 0 -2
69.49, 16, 2 4 -2

Crystal structure
Cell lengths 13.993, 6.832, 4.435 Å; angles 90.00, 108.38, 90.00 degrees
Space group C2/c (No. 15)
Asymmetric unit:
1 Ta 0.171 0.118 0.421
2 Nb 0.158 0.367 0.908
3 Au 0.000 0.345 0.250